This entry pairs a crystal structure of NdSmZr2P2 with its computed powder diffraction line list. Radiation: Cu Kα (λ = 1.5418 Å). Structure: a cell relaxed with PBE.
Lines closer than 0.1° are merged.

Largest 8 diffraction maxima, low angle first, 2θ from 10° to 90°:
27.6°, I 701; 33.0°, I 1000; 33.7°, I 363; 35.7°, I 429; 38.5°, I 496; 44.4°, I 473; 56.1°, I 240; 56.9°, I 320

Crystal structure
Cell: 8.4761 8.4761 8.4761 Å, 152.13 152.13 39.82°
Fractional coordinates of all 6 atoms:
Nd1 0.0000 0.0000 0.0000
Sm1 0.3551 0.3551 0.0000
Zr1 0.1786 0.6786 0.5000
Zr2 0.6786 0.1786 0.5000
P1 0.5539 0.5539 0.0000
P2 0.8033 0.8033 0.0000